Structure and computed powder diffraction line list of Hf4CdIn (a DFT-relaxed cell (PBE, Alexandria); Cu Kα X-rays).
No peak broadening, texture or thermal motion is included.

Structure:
```
data_Hf4CdIn
_cell_length_a 4.308
_cell_length_b 13.995
_cell_length_c 4.387
_cell_angle_alpha 90.00
_cell_angle_beta 90.00
_cell_angle_gamma 90.00
_symmetry_space_group_name_H-M 'C m m m'
_symmetry_Int_Tables_number 65
_symmetry_space_group_name_Hall '-C 2 2'
loop_
_atom_site_label
_atom_site_fract_x
_atom_site_fract_y
_atom_site_fract_z
Hf1 0.000 0.171 0.000
Hf2 0.000 0.329 0.500
Cd1 0.000 0.000 0.500
In1 0.000 0.500 0.000
```

Peak list (6 most intense, 10° ≤ 2θ ≤ 90°, in order of rising 2θ)
h k l	2θ (°)	intensity
1 3 1	34.96	100
0 6 0	38.60	19
0 0 2	41.15	16
2 0 0	41.94	15
1 9 1	67.50	14
1 3 3	71.01	13